Simulated X-ray diffraction stick pattern of SrCd3Ag8 for copper Kα, from a cell relaxed with PBE.
Kinematic intensities with the Lorentz-polarization factor, no thermal factor.

Largest 10 diffraction maxima, low angle first, 10 to 80 degrees two-theta:
2θ 19.26, I = 7
2θ 31.70, I = 25
2θ 37.36, I = 100
2θ 39.09, I = 44
2θ 56.44, I = 7
2θ 60.23, I = 28
2θ 66.16, I = 14
2θ 66.29, I = 11
2θ 78.54, I = 8
2θ 79.64, I = 11

Structure:
Lattice parameters (Å, degrees): 9.7624 9.7624 9.7624 33.64 33.64 33.64
Element x y z (fractional)
1 Sr 0.0000 0.0000 0.0000
2 Cd 0.1302 0.1302 0.1302
3 Cd 0.4979 0.4979 0.4979
4 Cd 0.6112 0.6112 0.6112
5 Ag 0.0619 0.0619 0.5587
6 Ag 0.0619 0.5587 0.0619
7 Ag 0.0680 0.5644 0.5644
8 Ag 0.3127 0.3127 0.3127
9 Ag 0.5587 0.0619 0.0619
10 Ag 0.5644 0.0680 0.5644
11 Ag 0.5644 0.5644 0.0680
12 Ag 0.8131 0.8131 0.8131

Simulated X-ray diffraction stick pattern of Pr3Ni2Ge3 for copper Kα, from a cell relaxed with PBE.
Kinematic intensities with the Lorentz-polarization factor, no thermal factor.

Largest 10 diffraction maxima, low angle first, 10 to 80 degrees two-theta:
2θ 32.94, I = 52
2θ 33.15, I = 100
2θ 34.85, I = 15
2θ 36.85, I = 18
2θ 37.36, I = 27
2θ 38.03, I = 25
2θ 40.89, I = 27
2θ 41.90, I = 33
2θ 55.05, I = 13
2θ 56.97, I = 16

Structure:
Lattice parameters (Å, degrees): 5.8257 5.8257 14.6344 90.00 90.00 136.55
Element x y z (fractional)
1 Pr 0.0862 0.9138 0.6085
2 Pr 0.0862 0.9138 0.8915
3 Pr 0.3701 0.6299 0.7500
4 Pr 0.6299 0.3701 0.2500
5 Pr 0.9138 0.0862 0.1085
6 Pr 0.9138 0.0862 0.3915
7 Ni 0.2054 0.7946 0.0980
8 Ni 0.2054 0.7946 0.4020
9 Ni 0.7946 0.2054 0.5980
10 Ni 0.7946 0.2054 0.9020
11 Ge 0.3277 0.6723 0.2500
12 Ge 0.3681 0.6319 0.5382
13 Ge 0.3681 0.6319 0.9618
14 Ge 0.6319 0.3681 0.0382
15 Ge 0.6319 0.3681 0.4618
16 Ge 0.6723 0.3277 0.7500

Simulated X-ray diffraction stick pattern of Pm4Pr3Pb4 for copper Kα, from a cell relaxed with PBE.
Kinematic intensities with the Lorentz-polarization factor, no thermal factor.

Largest 10 diffraction maxima, low angle first, 10 to 80 degrees two-theta:
2θ 28.82, I = 100
2θ 30.23, I = 91
2θ 32.05, I = 64
2θ 32.21, I = 56
2θ 34.87, I = 52
2θ 37.02, I = 48
2θ 42.81, I = 36
2θ 44.90, I = 32
2θ 57.22, I = 29
2θ 62.81, I = 29

Structure:
Lattice parameters (Å, degrees): 10.5655 10.5655 10.5655 156.94 127.15 58.40
Element x y z (fractional)
1 Pm 0.0109 0.8305 0.1804
2 Pm 0.3499 0.1695 0.1804
3 Pm 0.6501 0.8305 0.8196
4 Pm 0.9891 0.1695 0.8196
5 Pr 0.0000 0.5000 0.5000
6 Pr 0.4020 0.4020 0.0000
7 Pr 0.5980 0.5980 0.0000
8 Pb 0.2678 0.7678 0.5000
9 Pb 0.2793 0.0000 0.2793
10 Pb 0.7207 0.0000 0.7207
11 Pb 0.7322 0.2322 0.5000

Simulated X-ray diffraction stick pattern of Nd5Ho4Tm for copper Kα, from a cell relaxed with PBE.
Kinematic intensities with the Lorentz-polarization factor, no thermal factor.

Largest 10 diffraction maxima, low angle first, 10 to 80 degrees two-theta:
2θ 30.43, I = 100
2θ 35.11, I = 34
2θ 35.64, I = 16
2θ 50.49, I = 12
2θ 50.89, I = 24
2θ 60.10, I = 29
2θ 60.82, I = 14
2θ 63.33, I = 12
2θ 74.19, I = 4
2θ 75.48, I = 2

Structure:
Lattice parameters (Å, degrees): 3.6151 3.6151 25.1897 90.00 90.00 90.00
Element x y z (fractional)
1 Nd 0.0000 0.0000 0.0000
2 Nd 0.0000 0.0000 0.2005
3 Nd 0.0000 0.0000 0.4010
4 Nd 0.0000 0.0000 0.5990
5 Nd 0.0000 0.0000 0.7995
6 Ho 0.5000 0.5000 0.1002
7 Ho 0.5000 0.5000 0.3008
8 Ho 0.5000 0.5000 0.6992
9 Ho 0.5000 0.5000 0.8998
10 Tm 0.5000 0.5000 0.5000

Simulated X-ray diffraction stick pattern of NiHN for copper Kα, from a cell relaxed with PBE.
Kinematic intensities with the Lorentz-polarization factor, no thermal factor.

Largest 10 diffraction maxima, low angle first, 10 to 80 degrees two-theta:
2θ 24.72, I = 66
2θ 27.80, I = 87
2θ 29.92, I = 100
2θ 35.22, I = 28
2θ 39.68, I = 46
2θ 40.77, I = 25
2θ 41.80, I = 30
2θ 49.95, I = 28
2θ 50.21, I = 31
2θ 50.73, I = 29

Structure:
Lattice parameters (Å, degrees): 2.9886 3.7055 4.6712 103.44 90.11 91.94
Element x y z (fractional)
1 Ni 0.0000 0.0000 0.0000
2 Ni 0.0031 0.3040 0.5147
3 H 0.4338 0.8334 0.5629
4 H 0.5173 0.4977 0.1559
5 N 0.0950 0.8258 0.6042
6 N 0.5088 0.2436 0.2143

Simulated X-ray diffraction stick pattern of KRb2Tl3 for copper Kα, from a cell relaxed with PBE.
Kinematic intensities with the Lorentz-polarization factor, no thermal factor.

Largest 10 diffraction maxima, low angle first, 10 to 80 degrees two-theta:
2θ 14.30, I = 100
2θ 24.27, I = 43
2θ 28.29, I = 47
2θ 28.84, I = 27
2θ 29.69, I = 36
2θ 30.25, I = 75
2θ 30.42, I = 37
2θ 31.41, I = 65
2θ 31.56, I = 32
2θ 49.73, I = 36

Structure:
Lattice parameters (Å, degrees): 6.8857 6.8857 7.3565 117.82 117.82 60.35
Element x y z (fractional)
1 K 0.0000 0.0000 0.0000
2 Rb 0.3894 0.3894 0.1679
3 Rb 0.6106 0.6106 0.8321
4 Tl 0.0000 0.0000 0.5000
5 Tl 0.0000 0.5000 0.5000
6 Tl 0.5000 0.0000 0.5000

Simulated X-ray diffraction stick pattern of Tb2Nd3Sc4 for copper Kα, from a cell relaxed with PBE.
Kinematic intensities with the Lorentz-polarization factor, no thermal factor.

Largest 10 diffraction maxima, low angle first, 10 to 80 degrees two-theta:
2θ 21.84, I = 17
2θ 31.28, I = 50
2θ 31.48, I = 100
2θ 32.95, I = 92
2θ 38.64, I = 27
2θ 38.81, I = 28
2θ 50.66, I = 14
2θ 52.54, I = 16
2θ 56.97, I = 20
2θ 57.39, I = 15

Structure:
Lattice parameters (Å, degrees): 9.8153 9.8153 5.8783 96.15 96.15 70.78
Element x y z (fractional)
1 Tb 0.0007 0.7628 0.7084
2 Tb 0.2372 0.9993 0.7916
3 Tb 0.7628 0.0007 0.2084
4 Tb 0.9993 0.2372 0.2916
5 Nd 0.1465 0.8535 0.2500
6 Nd 0.2174 0.4584 0.3985
7 Nd 0.4584 0.2174 0.8985
8 Nd 0.5416 0.7826 0.1015
9 Nd 0.7826 0.5416 0.6015
10 Nd 0.8535 0.1465 0.7500
11 Sc 0.0975 0.3665 0.8510
12 Sc 0.3284 0.5649 0.9531
13 Sc 0.3665 0.0975 0.3510
14 Sc 0.4351 0.6716 0.5469
15 Sc 0.5649 0.3284 0.4531
16 Sc 0.6335 0.9025 0.6490
17 Sc 0.6716 0.4351 0.0469
18 Sc 0.9025 0.6335 0.1490

Simulated X-ray diffraction stick pattern of Ca3Sn13Rh4 for copper Kα, from a cell relaxed with PBE.
Kinematic intensities with the Lorentz-polarization factor, no thermal factor.

Largest 10 diffraction maxima, low angle first, 10 to 80 degrees two-theta:
2θ 28.76, I = 17
2θ 32.89, I = 100
2θ 34.17, I = 35
2θ 36.61, I = 19
2θ 37.78, I = 21
2θ 41.12, I = 20
2θ 45.25, I = 41
2θ 54.50, I = 17
2θ 57.90, I = 18
2θ 66.69, I = 16

Structure:
Lattice parameters (Å, degrees): 9.8172 9.8172 9.8172 90.00 90.00 90.00
Element x y z (fractional)
1 Ca 0.0000 0.2500 0.5000
2 Ca 0.0000 0.7500 0.5000
3 Ca 0.2500 0.5000 0.0000
4 Ca 0.5000 0.0000 0.2500
5 Ca 0.5000 0.0000 0.7500
6 Ca 0.7500 0.5000 0.0000
7 Sn 0.0000 0.0000 0.0000
8 Sn 0.0000 0.3048 0.1535
9 Sn 0.0000 0.3048 0.8465
10 Sn 0.0000 0.6952 0.1535
11 Sn 0.0000 0.6952 0.8465
12 Sn 0.1535 0.0000 0.3048
13 Sn 0.1535 0.0000 0.6952
14 Sn 0.1952 0.5000 0.3465
15 Sn 0.1952 0.5000 0.6535
16 Sn 0.3048 0.1535 0.0000
17 Sn 0.3048 0.8465 0.0000
18 Sn 0.3465 0.1952 0.5000
19 Sn 0.3465 0.8048 0.5000
20 Sn 0.5000 0.3465 0.1952
21 Sn 0.5000 0.3465 0.8048
22 Sn 0.5000 0.5000 0.5000
23 Sn 0.5000 0.6535 0.1952
24 Sn 0.5000 0.6535 0.8048
25 Sn 0.6535 0.1952 0.5000
26 Sn 0.6535 0.8048 0.5000
27 Sn 0.6952 0.1535 0.0000
28 Sn 0.6952 0.8465 0.0000
29 Sn 0.8048 0.5000 0.3465
30 Sn 0.8048 0.5000 0.6535
31 Sn 0.8465 0.0000 0.3048
32 Sn 0.8465 0.0000 0.6952
33 Rh 0.2500 0.2500 0.2500
34 Rh 0.2500 0.2500 0.7500
35 Rh 0.2500 0.7500 0.2500
36 Rh 0.2500 0.7500 0.7500
37 Rh 0.7500 0.2500 0.2500
38 Rh 0.7500 0.2500 0.7500
39 Rh 0.7500 0.7500 0.2500
40 Rh 0.7500 0.7500 0.7500

Simulated X-ray diffraction stick pattern of Rb3DyGa2O6 for copper Kα, from a cell relaxed with PBE.
Kinematic intensities with the Lorentz-polarization factor, no thermal factor.

Largest 10 diffraction maxima, low angle first, 10 to 80 degrees two-theta:
2θ 11.92, I = 24
2θ 16.53, I = 14
2θ 28.84, I = 97
2θ 29.26, I = 100
2θ 41.55, I = 46
2θ 51.10, I = 20
2θ 51.37, I = 41
2θ 57.94, I = 18
2θ 59.74, I = 18
2θ 67.90, I = 18

Structure:
Lattice parameters (Å, degrees): 6.1916 6.1916 7.4230 90.00 90.00 120.00
Element x y z (fractional)
1 Rb 0.0000 0.0000 0.0000
2 Rb 0.3333 0.6667 0.7501
3 Rb 0.6667 0.3333 0.2499
4 Dy 0.0000 0.0000 0.5000
5 Ga 0.3333 0.6667 0.3072
6 Ga 0.6667 0.3333 0.6928
7 O 0.1667 0.3333 0.3059
8 O 0.1667 0.8333 0.3059
9 O 0.3333 0.1667 0.6941
10 O 0.6667 0.8333 0.3059
11 O 0.8333 0.1667 0.6941
12 O 0.8333 0.6667 0.6941

Simulated X-ray diffraction stick pattern of Dy5ThIr6 for copper Kα, from a cell relaxed with PBE.
Kinematic intensities with the Lorentz-polarization factor, no thermal factor.

Largest 9 diffraction maxima, low angle first, 10 to 80 degrees two-theta:
2θ 36.50, I = 100
2θ 37.32, I = 47
2θ 51.33, I = 10
2θ 53.81, I = 17
2θ 65.16, I = 19
2θ 66.78, I = 35
2θ 77.57, I = 11
2θ 79.51, I = 3
2θ 79.64, I = 3

Structure:
Lattice parameters (Å, degrees): 7.6148 7.6148 7.1197 90.00 90.00 143.08
Element x y z (fractional)
1 Dy 0.0000 0.0000 0.0000
2 Dy 0.3297 0.6703 0.5000
3 Dy 0.3325 0.6675 0.0000
4 Dy 0.6675 0.3325 0.0000
5 Dy 0.6703 0.3297 0.5000
6 Th 0.0000 0.0000 0.5000
7 Ir 0.1656 0.8344 0.2489
8 Ir 0.1656 0.8344 0.7511
9 Ir 0.5000 0.5000 0.2489
10 Ir 0.5000 0.5000 0.7511
11 Ir 0.8344 0.1656 0.2489
12 Ir 0.8344 0.1656 0.7511

Simulated X-ray diffraction stick pattern of LiMgAg14 for copper Kα, from a cell relaxed with PBE.
Kinematic intensities with the Lorentz-polarization factor, no thermal factor.

Largest 10 diffraction maxima, low angle first, 10 to 80 degrees two-theta:
2θ 11.14, I = 6
2θ 21.03, I = 3
2θ 23.86, I = 5
2θ 37.68, I = 100
2θ 42.82, I = 34
2θ 45.68, I = 14
2θ 62.17, I = 11
2θ 64.40, I = 19
2θ 75.03, I = 24
2θ 79.12, I = 10

Structure:
Lattice parameters (Å, degrees): 5.9729 5.9729 7.9441 90.00 90.00 90.00
Element x y z (fractional)
1 Li 0.0000 0.0000 0.0000
2 Mg 0.5000 0.5000 0.0000
3 Ag 0.0000 0.0000 0.5000
4 Ag 0.0000 0.5000 0.0000
5 Ag 0.0000 0.5000 0.5000
6 Ag 0.2486 0.2486 0.2474
7 Ag 0.2486 0.2486 0.7526
8 Ag 0.2486 0.7514 0.2474
9 Ag 0.2486 0.7514 0.7526
10 Ag 0.5000 0.0000 0.0000
11 Ag 0.5000 0.0000 0.5000
12 Ag 0.5000 0.5000 0.5000
13 Ag 0.7514 0.2486 0.2474
14 Ag 0.7514 0.2486 0.7526
15 Ag 0.7514 0.7514 0.2474
16 Ag 0.7514 0.7514 0.7526

Simulated X-ray diffraction stick pattern of Er3Tl2Hg2 for copper Kα, from a cell relaxed with PBE.
Kinematic intensities with the Lorentz-polarization factor, no thermal factor.

Largest 10 diffraction maxima, low angle first, 10 to 80 degrees two-theta:
2θ 27.58, I = 44
2θ 32.63, I = 71
2θ 34.53, I = 95
2θ 35.12, I = 49
2θ 35.47, I = 72
2θ 35.92, I = 100
2θ 45.71, I = 26
2θ 48.85, I = 23
2θ 49.07, I = 23
2θ 59.16, I = 24

Structure:
Lattice parameters (Å, degrees): 5.0621 5.2211 8.6526 77.90 89.82 61.11
Element x y z (fractional)
1 Er 0.0000 0.0000 0.0000
2 Er 0.2750 0.4514 0.7042
3 Er 0.7250 0.5486 0.2958
4 Tl 0.3638 0.2714 0.1452
5 Tl 0.6362 0.7286 0.8548
6 Hg 0.0691 0.8598 0.3631
7 Hg 0.9309 0.1402 0.6369

Copy entry 8 word for word.
Simulated X-ray diffraction stick pattern of Ca3Sn13Rh4 for copper Kα, from a cell relaxed with PBE.
Kinematic intensities with the Lorentz-polarization factor, no thermal factor.

Largest 10 diffraction maxima, low angle first, 10 to 80 degrees two-theta:
2θ 28.76, I = 17
2θ 32.89, I = 100
2θ 34.17, I = 35
2θ 36.61, I = 19
2θ 37.78, I = 21
2θ 41.12, I = 20
2θ 45.25, I = 41
2θ 54.50, I = 17
2θ 57.90, I = 18
2θ 66.69, I = 16

Structure:
Lattice parameters (Å, degrees): 9.8172 9.8172 9.8172 90.00 90.00 90.00
Element x y z (fractional)
1 Ca 0.0000 0.2500 0.5000
2 Ca 0.0000 0.7500 0.5000
3 Ca 0.2500 0.5000 0.0000
4 Ca 0.5000 0.0000 0.2500
5 Ca 0.5000 0.0000 0.7500
6 Ca 0.7500 0.5000 0.0000
7 Sn 0.0000 0.0000 0.0000
8 Sn 0.0000 0.3048 0.1535
9 Sn 0.0000 0.3048 0.8465
10 Sn 0.0000 0.6952 0.1535
11 Sn 0.0000 0.6952 0.8465
12 Sn 0.1535 0.0000 0.3048
13 Sn 0.1535 0.0000 0.6952
14 Sn 0.1952 0.5000 0.3465
15 Sn 0.1952 0.5000 0.6535
16 Sn 0.3048 0.1535 0.0000
17 Sn 0.3048 0.8465 0.0000
18 Sn 0.3465 0.1952 0.5000
19 Sn 0.3465 0.8048 0.5000
20 Sn 0.5000 0.3465 0.1952
21 Sn 0.5000 0.3465 0.8048
22 Sn 0.5000 0.5000 0.5000
23 Sn 0.5000 0.6535 0.1952
24 Sn 0.5000 0.6535 0.8048
25 Sn 0.6535 0.1952 0.5000
26 Sn 0.6535 0.8048 0.5000
27 Sn 0.6952 0.1535 0.0000
28 Sn 0.6952 0.8465 0.0000
29 Sn 0.8048 0.5000 0.3465
30 Sn 0.8048 0.5000 0.6535
31 Sn 0.8465 0.0000 0.3048
32 Sn 0.8465 0.0000 0.6952
33 Rh 0.2500 0.2500 0.2500
34 Rh 0.2500 0.2500 0.7500
35 Rh 0.2500 0.7500 0.2500
36 Rh 0.2500 0.7500 0.7500
37 Rh 0.7500 0.2500 0.2500
38 Rh 0.7500 0.2500 0.7500
39 Rh 0.7500 0.7500 0.2500
40 Rh 0.7500 0.7500 0.7500

- Which formula does entry 8 have?
  Ca3Sn13Rh4